No. 1
Theoretical XRD peak list
Compound: Cs2ZrBiF6
Radiation: Cu Ka
Structure: a DFT-relaxed cell (GGA-PBE, Alexandria)

Top 10 peaks for 2θ from 15° to 90°, sorted by position:
2θ (°)	d/Å	I_rel
22.76	3.907	69
25.55	3.487	100
32.41	2.762	39
41.72	2.165	46
46.63	1.948	20
52.37	1.747	18
52.49	1.743	19
53.79	1.704	16
64.22	1.450	16
67.96	1.379	16

Structure:
Cell lengths 7.122, 7.122, 7.122 Å; angles 113.47, 113.47, 101.74 degrees
Element x y z (fractional)
Cs: 0.250 0.750 0.500
Cs: 0.750 0.250 0.500
Zr: 0.000 0.000 0.000
Bi: 0.500 0.500 0.000
F: 0.184 0.184 0.367
F: 0.184 0.816 0.000
F: 0.230 0.230 0.000
F: 0.770 0.770 0.000
F: 0.816 0.184 0.000
F: 0.816 0.816 0.633


No. 2
Theoretical XRD peak list
Compound: Sc6Zn5Cd
Radiation: Cu Ka
Structure: a DFT-relaxed cell (GGA-PBE, Alexandria)

Top 10 peaks for 2θ from 15° to 90°, sorted by position:
2θ (°)	d/Å	I_rel
26.34	3.383	9
37.60	2.392	100
46.49	1.953	3
54.15	1.694	5
54.25	1.691	11
61.24	1.514	3
67.81	1.382	21
67.93	1.380	10
80.22	1.197	8
80.41	1.194	2

Structure:
Cell lengths 7.568, 7.568, 6.775 Å; angles 90.00, 90.00, 143.21 degrees
Element x y z (fractional)
Sc: 0.000 0.000 0.240
Sc: 0.000 0.000 0.760
Sc: 0.329 0.671 0.245
Sc: 0.329 0.671 0.755
Sc: 0.671 0.329 0.245
Sc: 0.671 0.329 0.755
Zn: 0.165 0.835 0.500
Zn: 0.166 0.834 0.000
Zn: 0.500 0.500 0.000
Zn: 0.834 0.166 0.000
Zn: 0.835 0.165 0.500
Cd: 0.500 0.500 0.500


No. 3
Theoretical XRD peak list
Compound: Zr3Rh8
Radiation: Cu Ka
Structure: a DFT-relaxed cell (GGA-PBE, Alexandria)

Top 10 peaks for 2θ from 15° to 90°, sorted by position:
2θ (°)	d/Å	I_rel
31.99	2.797	61
37.21	2.416	41
39.02	2.308	75
39.25	2.296	37
39.49	2.282	79
41.86	2.158	41
41.97	2.153	100
42.68	2.119	45
43.16	2.096	55
49.34	1.847	39

Structure:
Cell lengths 4.834, 5.622, 7.429 Å; angles 94.73, 108.69, 91.46 degrees
Element x y z (fractional)
Zr: 0.000 0.000 0.000
Zr: 0.000 0.000 0.500
Zr: 0.500 0.500 0.000
Rh: 0.087 0.425 0.199
Rh: 0.282 0.510 0.579
Rh: 0.373 0.836 0.346
Rh: 0.405 0.888 0.825
Rh: 0.595 0.112 0.175
Rh: 0.627 0.164 0.654
Rh: 0.718 0.490 0.421
Rh: 0.913 0.575 0.801


No. 4
Theoretical XRD peak list
Compound: Ag3As2Se4
Radiation: Cu Ka
Structure: a DFT-relaxed cell (GGA-PBE, Alexandria)

Top 10 peaks for 2θ from 15° to 90°, sorted by position:
2θ (°)	d/Å	I_rel
23.68	3.757	33
26.95	3.309	59
29.11	3.067	28
31.10	2.876	100
34.72	2.584	30
39.20	2.298	41
41.48	2.177	52
42.48	2.128	49
45.90	1.977	36
51.30	1.781	30

Structure:
Cell lengths 8.765, 8.765, 6.342 Å; angles 96.15, 96.15, 101.40 degrees
Element x y z (fractional)
Ag: 0.129 0.542 0.341
Ag: 0.243 0.757 0.750
Ag: 0.458 0.871 0.159
Ag: 0.542 0.129 0.841
Ag: 0.757 0.243 0.250
Ag: 0.871 0.458 0.659
As: 0.057 0.286 0.855
As: 0.286 0.057 0.355
As: 0.714 0.943 0.645
As: 0.943 0.714 0.145
Se: 0.052 0.258 0.469
Se: 0.254 0.515 0.987
Se: 0.258 0.052 0.969
Se: 0.485 0.746 0.513
Se: 0.515 0.254 0.487
Se: 0.742 0.948 0.031
Se: 0.746 0.485 0.013
Se: 0.948 0.742 0.531


No. 5
Theoretical XRD peak list
Compound: Tl2H2SI2
Radiation: Cu Ka
Structure: a DFT-relaxed cell (GGA-PBE, Alexandria)

Top 10 peaks for 2θ from 15° to 90°, sorted by position:
2θ (°)	d/Å	I_rel
16.86	5.257	24
22.36	3.976	36
26.99	3.303	100
29.19	3.060	92
29.88	2.990	45
30.81	2.902	37
34.11	2.629	22
42.59	2.123	22
49.97	1.825	25
50.70	1.801	21

Structure:
Cell lengths 4.599, 6.923, 6.941 Å; angles 75.54, 77.14, 77.12 degrees
Element x y z (fractional)
Tl: 0.000 0.248 0.252
Tl: 0.000 0.752 0.748
H: 0.477 0.362 0.862
H: 0.523 0.638 0.138
S: 0.500 0.500 0.000
I: 0.365 0.200 0.699
I: 0.635 0.800 0.301


No. 6
Theoretical XRD peak list
Compound: Er3ScAg4Se8
Radiation: Cu Ka
Structure: a DFT-relaxed cell (GGA-PBE, Alexandria)

Top 10 peaks for 2θ from 15° to 90°, sorted by position:
2θ (°)	d/Å	I_rel
26.73	3.335	10
31.09	2.877	100
31.24	2.863	49
44.23	2.048	56
44.86	2.020	18
45.08	2.011	35
54.96	1.671	10
55.14	1.666	19
64.82	1.438	11
73.14	1.294	16

Structure:
Cell lengths 8.047, 8.047, 8.084 Å; angles 118.97, 118.97, 61.19 degrees
Element x y z (fractional)
Er: 0.000 0.000 0.000
Er: 0.000 0.500 0.500
Er: 0.500 0.000 0.500
Sc: 0.500 0.500 0.000
Ag: 0.000 0.000 0.500
Ag: 0.000 0.500 0.000
Ag: 0.500 0.000 0.000
Ag: 0.500 0.500 0.500
Se: 0.248 0.248 0.254
Se: 0.255 0.742 0.760
Se: 0.257 0.257 0.753
Se: 0.258 0.745 0.240
Se: 0.742 0.255 0.760
Se: 0.743 0.743 0.247
Se: 0.745 0.258 0.240
Se: 0.752 0.752 0.746


No. 7
Theoretical XRD peak list
Compound: InPRu
Radiation: Cu Ka
Structure: a DFT-relaxed cell (GGA-PBE, Alexandria)

Top 10 peaks for 2θ from 15° to 90°, sorted by position:
2θ (°)	d/Å	I_rel
29.04	3.075	100
36.67	2.451	20
37.65	2.389	44
42.07	2.148	74
50.26	1.815	43
59.10	1.563	13
63.81	1.459	22
67.57	1.386	17
70.72	1.332	15
88.81	1.102	17

Structure:
Cell lengths 5.331, 5.331, 5.331 Å; angles 39.81, 39.81, 39.81 degrees
Element x y z (fractional)
In: 0.000 0.000 0.000
P: 0.804 0.804 0.804
Ru: 0.197 0.197 0.197


No. 8
Theoretical XRD peak list
Compound: Tb3Zn3Hg
Radiation: Cu Ka
Structure: a DFT-relaxed cell (GGA-PBE, Alexandria)

Top 10 peaks for 2θ from 15° to 90°, sorted by position:
2θ (°)	d/Å	I_rel
23.81	3.736	19
32.90	2.722	100
33.55	2.671	51
37.52	2.397	54
39.74	2.268	31
42.08	2.147	12
50.34	1.813	15
52.95	1.729	28
64.44	1.446	29
65.97	1.416	14

Structure:
Cell lengths 10.298, 10.298, 10.298 Å; angles 159.73, 154.55, 32.75 degrees
Element x y z (fractional)
Tb: 0.000 0.000 0.000
Tb: 0.391 0.391 0.000
Tb: 0.688 0.188 0.500
Zn: 0.123 0.623 0.500
Zn: 0.553 0.553 0.000
Zn: 0.840 0.840 0.000
Hg: 0.259 0.759 0.500


No. 9
Theoretical XRD peak list
Compound: LiTeO3
Radiation: Cu Ka
Structure: a DFT-relaxed cell (GGA-PBE, Alexandria)

Top 10 peaks for 2θ from 15° to 90°, sorted by position:
2θ (°)	d/Å	I_rel
19.15	4.634	8
19.51	4.549	100
30.96	2.888	54
33.70	2.659	16
34.33	2.612	13
39.79	2.265	26
48.90	1.863	21
49.35	1.847	12
52.82	1.733	10
59.41	1.556	19

Structure:
Cell lengths 5.219, 5.228, 9.267 Å; angles 90.00, 90.00, 90.00 degrees
Element x y z (fractional)
Li: 0.000 0.000 0.000
Li: 0.000 0.500 0.318
Li: 0.500 0.000 0.818
Li: 0.500 0.500 0.500
Te: 0.000 0.000 0.570
Te: 0.000 0.500 0.763
Te: 0.500 0.000 0.263
Te: 0.500 0.500 0.070
O: 0.202 0.321 0.903
O: 0.209 0.340 0.607
O: 0.210 0.816 0.731
O: 0.290 0.316 0.231
O: 0.291 0.840 0.107
O: 0.298 0.821 0.403
O: 0.702 0.179 0.403
O: 0.709 0.160 0.107
O: 0.710 0.684 0.231
O: 0.790 0.184 0.731
O: 0.791 0.660 0.607
O: 0.798 0.679 0.903


No. 10
Theoretical XRD peak list
Compound: PuSc6Te8
Radiation: Cu Ka
Structure: a DFT-relaxed cell (GGA-PBE, Alexandria)

Top 10 peaks for 2θ from 15° to 90°, sorted by position:
2θ (°)	d/Å	I_rel
25.06	3.554	19
26.19	3.402	20
30.33	2.947	100
33.13	2.704	16
43.43	2.084	72
53.89	1.701	25
60.32	1.534	9
63.10	1.473	11
71.61	1.318	30
79.71	1.203	22

Structure:
Cell lengths 8.334, 8.334, 8.334 Å; angles 60.00, 60.00, 60.00 degrees
Element x y z (fractional)
Pu: 0.000 0.000 0.000
Sc: 0.000 0.000 0.500
Sc: 0.000 0.500 0.000
Sc: 0.000 0.500 0.500
Sc: 0.500 0.000 0.000
Sc: 0.500 0.000 0.500
Sc: 0.500 0.500 0.000
Te: 0.250 0.250 0.250
Te: 0.263 0.263 0.737
Te: 0.263 0.737 0.263
Te: 0.263 0.737 0.737
Te: 0.737 0.263 0.263
Te: 0.737 0.263 0.737
Te: 0.737 0.737 0.263
Te: 0.750 0.750 0.750


No. 11
Theoretical XRD peak list
Compound: AcLa8Nd6
Radiation: Cu Ka
Structure: a DFT-relaxed cell (GGA-PBE, Alexandria)

Top 10 peaks for 2θ from 15° to 90°, sorted by position:
2θ (°)	d/Å	I_rel
27.17	3.282	17
29.18	3.060	16
31.68	2.824	100
32.86	2.725	14
45.41	1.997	10
50.11	1.820	9
52.54	1.742	10
56.05	1.641	7
56.43	1.631	19
77.83	1.227	8

Structure:
Cell lengths 8.932, 8.932, 8.932 Å; angles 66.42, 66.42, 66.42 degrees
Element x y z (fractional)
Ac: 0.000 0.000 0.000
La: 0.127 0.427 0.819
La: 0.181 0.873 0.573
La: 0.238 0.238 0.238
La: 0.427 0.819 0.127
La: 0.573 0.181 0.873
La: 0.762 0.762 0.762
La: 0.819 0.127 0.427
La: 0.873 0.573 0.181
Nd: 0.098 0.651 0.372
Nd: 0.349 0.628 0.902
Nd: 0.372 0.098 0.651
Nd: 0.628 0.902 0.349
Nd: 0.651 0.372 0.098
Nd: 0.902 0.349 0.628


No. 12
Theoretical XRD peak list
Compound: Tm4PuRu2
Radiation: Cu Ka
Structure: a DFT-relaxed cell (GGA-PBE, Alexandria)

Top 10 peaks for 2θ from 15° to 90°, sorted by position:
2θ (°)	d/Å	I_rel
27.09	3.291	53
28.69	3.112	42
31.03	2.882	40
31.36	2.853	32
31.64	2.828	42
32.89	2.723	100
33.27	2.693	55
34.16	2.625	44
36.35	2.472	34
38.01	2.367	77

Structure:
Cell lengths 5.898, 6.791, 8.864 Å; angles 101.60, 93.84, 100.36 degrees
Element x y z (fractional)
Tm: 0.000 0.000 0.000
Tm: 0.004 0.488 0.907
Tm: 0.276 0.069 0.352
Tm: 0.474 0.630 0.414
Tm: 0.523 0.736 0.079
Tm: 0.618 0.290 0.124
Tm: 0.884 0.991 0.600
Tm: 0.939 0.457 0.494
Pu: 0.373 0.886 0.760
Pu: 0.444 0.316 0.721
Ru: 0.166 0.392 0.182
Ru: 0.692 0.674 0.751
Ru: 0.762 0.054 0.313
Ru: 0.939 0.678 0.248